Theoretical powder diffractogram of RbHf5Te8 for Cu Kα, from DFT lattice parameters and positions (PBE).
Kinematic intensities with the Lorentz-polarization factor, no thermal factor.

Unit cell a=10.7730 b=10.7730 c=10.1239 alpha=104.42 beta=104.42 gamma=21.23
Sites, in units of the cell vectors:
1 Rb 0.0000 0.0000 0.0000
2 Hf 0.1496 0.1496 0.5050
3 Hf 0.2088 0.2088 0.8478
4 Hf 0.5000 0.5000 0.5000
5 Hf 0.7912 0.7912 0.1522
6 Hf 0.8504 0.8504 0.4950
7 Te 0.0708 0.0708 0.6903
8 Te 0.2558 0.2558 0.3409
9 Te 0.3415 0.3415 0.9971
10 Te 0.4142 0.4142 0.6870
11 Te 0.5858 0.5858 0.3130
12 Te 0.6585 0.6585 0.0029
13 Te 0.7442 0.7442 0.6591
14 Te 0.9292 0.9292 0.3097

Principal peaks in the range 2θ = 10–90°, most intense first:
2θ = 28.6°, intensity 100; 2θ = 35.5°, intensity 84; 2θ = 44.8°, intensity 62; 2θ = 10.8°, intensity 44; 2θ = 33.7°, intensity 42; 2θ = 35.7°, intensity 39; 2θ = 29.8°, intensity 39; 2θ = 45.7°, intensity 39; 2θ = 27.8°, intensity 39; 2θ = 40.5°, intensity 25; 2θ = 59.3°, intensity 18; 2θ = 32.8°, intensity 17

=====

Theoretical powder diffractogram of Mn6GaH3 for Cu Kα, from DFT lattice parameters and positions (PBE).
Kinematic intensities with the Lorentz-polarization factor, no thermal factor.

Unit cell a=4.6865 b=4.8127 c=4.8757 alpha=118.41 beta=99.04 gamma=90.51
Sites, in units of the cell vectors:
1 Mn 0.0000 0.0000 0.0000
2 Mn 0.0391 0.5298 0.0399
3 Mn 0.3745 0.6063 0.6417
4 Mn 0.5026 0.2518 0.9758
5 Mn 0.5472 0.8845 0.2825
6 Mn 0.8600 0.4987 0.4673
7 Ga 0.0931 0.0477 0.5320
8 H 0.5186 0.2763 0.3530
9 H 0.6550 0.8902 0.6784
10 H 0.6616 0.5758 0.9353

Principal peaks in the range 2θ = 10–90°, most intense first:
2θ = 42.9°, intensity 100; 2θ = 45.6°, intensity 74; 2θ = 46.7°, intensity 73; 2θ = 37.4°, intensity 69; 2θ = 44.7°, intensity 68; 2θ = 43.8°, intensity 64; 2θ = 39.1°, intensity 58; 2θ = 43.7°, intensity 51; 2θ = 46.5°, intensity 43; 2θ = 45.1°, intensity 41; 2θ = 43.3°, intensity 37; 2θ = 49.8°, intensity 35

=====

Theoretical powder diffractogram of Fe2BI8 for Cu Kα, from DFT lattice parameters and positions (PBE).
Kinematic intensities with the Lorentz-polarization factor, no thermal factor.

Unit cell a=7.6367 b=7.6367 c=10.6806 alpha=113.50 beta=113.50 gamma=69.78
Sites, in units of the cell vectors:
1 Fe 0.1063 0.1063 0.3961
2 Fe 0.8937 0.8937 0.6039
3 B 0.0000 0.0000 0.0000
4 I 0.1391 0.1391 0.6659
5 I 0.1510 0.7559 0.8216
6 I 0.2441 0.8490 0.1784
7 I 0.3391 0.3391 0.4966
8 I 0.6609 0.6609 0.5034
9 I 0.7559 0.1510 0.8216
10 I 0.8490 0.2441 0.1784
11 I 0.8609 0.8609 0.3341

Principal peaks in the range 2θ = 10–90°, most intense first:
2θ = 22.5°, intensity 100; 2θ = 13.0°, intensity 70; 2θ = 29.2°, intensity 58; 2θ = 26.1°, intensity 58; 2θ = 14.2°, intensity 56; 2θ = 38.8°, intensity 41; 2θ = 40.4°, intensity 35; 2θ = 29.1°, intensity 31; 2θ = 50.7°, intensity 28; 2θ = 24.7°, intensity 28; 2θ = 32.5°, intensity 27; 2θ = 24.9°, intensity 25

=====

Theoretical powder diffractogram of Na5Tl12Ga2 for Cu Kα, from DFT lattice parameters and positions (PBE).
Kinematic intensities with the Lorentz-polarization factor, no thermal factor.

Unit cell a=8.8277 b=8.8277 c=7.8077 alpha=90.65 beta=90.65 gamma=65.57
Sites, in units of the cell vectors:
1 Na 0.0000 0.0000 0.0000
2 Na 0.2337 0.2337 0.0399
3 Na 0.2982 0.2982 0.4972
4 Na 0.7018 0.7018 0.5028
5 Na 0.7663 0.7663 0.9601
6 Tl 0.0479 0.6711 0.2796
7 Tl 0.0810 0.0810 0.3747
8 Tl 0.1671 0.5817 0.8116
9 Tl 0.3289 0.9521 0.7204
10 Tl 0.4183 0.8329 0.1884
11 Tl 0.4385 0.4385 0.1681
12 Tl 0.5615 0.5615 0.8319
13 Tl 0.5817 0.1671 0.8116
14 Tl 0.6711 0.0479 0.2796
15 Tl 0.8329 0.4183 0.1884
16 Tl 0.9190 0.9190 0.6253
17 Tl 0.9521 0.3289 0.7204
18 Ga 0.3449 0.6551 0.5000
19 Ga 0.6551 0.3449 0.5000

Principal peaks in the range 2θ = 10–90°, most intense first:
2θ = 33.5°, intensity 100; 2θ = 31.8°, intensity 61; 2θ = 35.5°, intensity 59; 2θ = 30.9°, intensity 57; 2θ = 24.0°, intensity 51; 2θ = 22.8°, intensity 42; 2θ = 38.2°, intensity 36; 2θ = 36.2°, intensity 33; 2θ = 30.5°, intensity 30; 2θ = 15.8°, intensity 28; 2θ = 58.5°, intensity 25; 2θ = 30.9°, intensity 25

=====

Theoretical powder diffractogram of Sm5HgSb4 for Cu Kα, from DFT lattice parameters and positions (PBE).
Kinematic intensities with the Lorentz-polarization factor, no thermal factor.

Unit cell a=7.7350 b=7.7350 c=7.7350 alpha=99.56 beta=99.56 gamma=131.90
Sites, in units of the cell vectors:
1 Sm 0.0000 0.0000 0.0000
2 Sm 0.1908 0.6052 0.7960
3 Sm 0.3948 0.1908 0.5856
4 Sm 0.6052 0.8092 0.4144
5 Sm 0.8092 0.3948 0.2040
6 Hg 0.5000 0.5000 0.0000
7 Sb 0.1013 0.2986 0.3999
8 Sb 0.2986 0.8987 0.1974
9 Sb 0.7014 0.1013 0.8026
10 Sb 0.8987 0.7014 0.6001

Principal peaks in the range 2θ = 10–90°, most intense first:
2θ = 28.3°, intensity 100; 2θ = 40.4°, intensity 76; 2θ = 50.0°, intensity 27; 2θ = 73.5°, intensity 25; 2θ = 66.2°, intensity 23; 2θ = 66.3°, intensity 12; 2θ = 58.4°, intensity 8; 2θ = 87.4°, intensity 6; 2θ = 58.6°, intensity 4; 2θ = 87.3°, intensity 3; 2θ = 24.4°, intensity 2; 2θ = 35.4°, intensity 1

=====

Theoretical powder diffractogram of ZnNi14Ir for Cu Kα, from DFT lattice parameters and positions (PBE).
Kinematic intensities with the Lorentz-polarization factor, no thermal factor.

Unit cell a=8.2272 b=5.0487 c=5.0487 alpha=59.96 beta=90.00 gamma=90.00
Sites, in units of the cell vectors:
1 Zn 0.0000 0.0000 0.0000
2 Ni 0.0000 0.5009 0.9981
3 Ni 0.0000 0.9981 0.5009
4 Ni 0.2529 0.6671 0.6671
5 Ni 0.2543 0.1677 0.1677
6 Ni 0.2553 0.1658 0.6652
7 Ni 0.2553 0.6652 0.1658
8 Ni 0.5000 0.3331 0.3331
9 Ni 0.5000 0.3333 0.8335
10 Ni 0.5000 0.8335 0.3333
11 Ni 0.5000 0.8328 0.8328
12 Ni 0.7447 0.1658 0.6652
13 Ni 0.7447 0.6652 0.1658
14 Ni 0.7457 0.1677 0.1677
15 Ni 0.7471 0.6671 0.6671
16 Ir 0.0000 0.4996 0.4996

Principal peaks in the range 2θ = 10–90°, most intense first:
2θ = 47.1°, intensity 100; 2θ = 42.8°, intensity 60; 2θ = 44.0°, intensity 38; 2θ = 53.6°, intensity 29; 2θ = 75.3°, intensity 21; 2θ = 83.2°, intensity 17; 2θ = 23.0°, intensity 14; 2θ = 71.8°, intensity 12; 2θ = 10.8°, intensity 10; 2θ = 20.3°, intensity 9; 2θ = 29.8°, intensity 7; 2θ = 41.3°, intensity 5